[1]
Starting from a cell relaxed with GGA+U, the PXRD pattern of LiMnO2 was computed for copper Kα.
Neutral-atom scattering factors, no anomalous dispersion.

Structural model:
```
LiMnO2
1.0
2.8734 0.0000 0.0000
-1.4367 2.4885 0.0000
0.0000 0.0000 5.1433
Li Mn O
1 1 2
direct
0.0000 0.0000 0.0000 Li
0.3333 0.6667 0.5631 Mn
0.0000 0.0000 0.3665 O
0.6667 0.3333 0.7885 O
```

The 12 most intense peaks (2θ = 10–90°), by angle:
(hkl)	Position (°2θ)	d/Å	intensity
0 0 1	17.24	5.143	100
0 0 2	34.89	2.572	5
1 0 0	36.09	2.488	17
0 1 1	40.26	2.240	65
0 1 2	51.07	1.788	41
1 1 0	64.90	1.437	15
1 0 3	66.19	1.412	17
1 1 1	67.71	1.384	11
1 1 2	75.85	1.254	3
2 0 1	79.21	1.209	7
1 0 4	84.89	1.142	5
2 0 2	86.99	1.120	7



[2]
Starting from a cell relaxed with GGA+U, the PXRD pattern of V3O5F was computed for copper Kα.
Neutral-atom scattering factors, no anomalous dispersion.

Structural model:
```
V3O5F
1.0
4.6088 0.0000 0.0000
-0.0015 5.5273 0.0000
-0.0054 -0.4267 7.6251
V O F
6 10 2
direct
0.0000 0.0000 0.0000 V
0.0083 0.3351 0.3563 V
0.4607 0.8208 0.3574 V
0.5004 0.4994 0.0396 V
0.5086 0.1670 0.6832 V
0.9606 0.6807 0.6818 V
0.1955 0.9580 0.7866 O
0.2060 0.2994 0.1105 O
0.2063 0.6379 0.4631 O
0.2924 0.8029 0.1238 O
0.3179 0.1295 0.4486 O
0.6960 0.5435 0.2535 O
0.7052 0.8646 0.5774 O
0.7062 0.2010 0.9307 O
0.7918 0.6979 0.9160 O
0.8168 0.3716 0.5922 O
0.2993 0.4753 0.7899 F
0.8008 0.0259 0.2505 F
```

The 12 most intense peaks (2θ = 10–90°), by angle:
(hkl)	Position (°2θ)	d/Å	intensity
1 1 -1	27.41	3.254	100
0 2 1	35.21	2.549	40
0 0 3	35.31	2.542	13
1 0 -3	40.46	2.229	17
1 0 3	40.54	2.225	6
1 2 -2	44.00	2.058	6
1 -3 0	53.63	1.709	37
1 1 -4	53.75	1.705	14
1 -1 4	53.82	1.703	7
2 2 -2	56.57	1.627	18
0 2 4	60.56	1.529	9
-3 1 2	68.33	1.373	10